No. 1
Computed XRD peak list of Ba6Bi2N for Cu Kα, from a GGA-PBE-relaxed structure.
No peak broadening, texture or thermal motion is included.

Cell and atoms:
```
data_Ba6Bi2N
_chemical_formula_sum 'Ba12 Bi4 N2'
_cell_length_a 4.4931
_cell_length_b 16.7723
_cell_length_c 10.2289
_cell_angle_alpha 90.00
_cell_angle_beta 90.00
_cell_angle_gamma 90.00
_space_group_name_H-M_alt 'A m m 2'
_space_group_IT_number 38
_space_group_name_Hall 'A 2 -2'
loop_
_atom_site_label
_atom_site_fract_x
_atom_site_fract_y
_atom_site_fract_z
Ba1 0.0000 0.0000 0.0000
Ba2 0.0000 0.1015 0.5925
Ba3 0.5000 0.0000 0.2985
Ba4 0.5000 0.2131 0.9343
Bi1 0.0000 0.1762 0.2184
N1 0.5000 0.0000 0.5403
```

The 10 most intense peaks (10° ≤ 2θ ≤ 90°), by angle:
26.40°, d = 3.376 Å, rel. 64, hkl 1 0 2
26.68°, d = 3.341 Å, rel. 37, hkl 0 1 3
26.91°, d = 3.313 Å, rel. 100, hkl 1 3 1
27.99°, d = 3.187 Å, rel. 62, hkl 0 5 1
28.50°, d = 3.131 Å, rel. 93, hkl 1 2 2
30.71°, d = 2.911 Å, rel. 35, hkl 0 3 3
36.77°, d = 2.444 Å, rel. 44, hkl 0 2 4
40.14°, d = 2.247 Å, rel. 32, hkl 2 0 0
49.66°, d = 1.836 Å, rel. 31, hkl 2 5 1
51.34°, d = 1.780 Å, rel. 34, hkl 1 8 2

***

No. 2
Computed XRD peak list of CuH8Ir2Pb for Cu Kα, from a GGA-PBE-relaxed structure.
No peak broadening, texture or thermal motion is included.

Cell and atoms:
```
data_CuH8Ir2Pb
_chemical_formula_sum 'Cu3 H24 Ir6 Pb3'
_cell_length_a 4.6691
_cell_length_b 4.6691
_cell_length_c 18.1592
_cell_angle_alpha 90.00
_cell_angle_beta 90.00
_cell_angle_gamma 120.00
_space_group_name_H-M_alt 'R -3'
_space_group_IT_number 148
_space_group_name_Hall '-R 3'
loop_
_atom_site_label
_atom_site_fract_x
_atom_site_fract_y
_atom_site_fract_z
Cu1 0.0000 0.0000 0.0000
H1 0.0000 0.0000 0.2015
H2 0.0021 0.3073 0.0597
Ir1 0.0000 0.0000 0.2900
Pb1 0.0000 0.0000 0.5000
```

The 10 most intense peaks (10° ≤ 2θ ≤ 90°), by angle:
22.53°, d = 3.947 Å, rel. 40, hkl 1 0 1
29.58°, d = 3.020 Å, rel. 100, hkl 1 0 4
33.16°, d = 2.702 Å, rel. 72, hkl 0 1 5
38.56°, d = 2.335 Å, rel. 85, hkl 1 1 0
49.33°, d = 1.847 Å, rel. 35, hkl 0 2 4
51.75°, d = 1.767 Å, rel. 21, hkl 2 0 5
55.47°, d = 1.657 Å, rel. 24, hkl 1 0 10
60.66°, d = 1.527 Å, rel. 20, hkl 2 -1 9
64.31°, d = 1.448 Å, rel. 20, hkl 3 -1 4
66.36°, d = 1.409 Å, rel. 21, hkl 1 2 5

***

No. 3
Computed XRD peak list of Y2MgPb for Cu Kα, from a GGA-PBE-relaxed structure.
No peak broadening, texture or thermal motion is included.

Cell and atoms:
```
data_Y2MgPb
_chemical_formula_sum 'Y4 Mg2 Pb2'
_cell_length_a 4.1871
_cell_length_b 4.8798
_cell_length_c 10.9408
_cell_angle_alpha 90.00
_cell_angle_beta 90.00
_cell_angle_gamma 90.00
_space_group_name_H-M_alt 'I m m 2'
_space_group_IT_number 44
_space_group_name_Hall 'I 2 -2'
loop_
_atom_site_label
_atom_site_fract_x
_atom_site_fract_y
_atom_site_fract_z
Y1 0.0000 0.0000 0.0000
Y2 0.0000 0.5000 0.2397
Mg1 0.0000 0.5000 0.7668
Pb1 0.0000 0.0000 0.4806
```

The 10 most intense peaks (10° ≤ 2θ ≤ 90°), by angle:
16.20°, d = 5.470 Å, rel. 24, hkl 0 0 2
19.92°, d = 4.457 Å, rel. 15, hkl 0 1 1
28.08°, d = 3.178 Å, rel. 13, hkl 1 1 0
32.59°, d = 2.748 Å, rel. 100, hkl 1 1 2
32.74°, d = 2.735 Å, rel. 22, hkl 0 0 4
36.84°, d = 2.440 Å, rel. 17, hkl 0 2 0
43.69°, d = 2.072 Å, rel. 13, hkl 1 1 4
50.10°, d = 1.821 Å, rel. 13, hkl 0 2 4
58.35°, d = 1.582 Å, rel. 16, hkl 1 1 6
63.69°, d = 1.461 Å, rel. 15, hkl 1 3 2